This entry pairs a crystal structure of GeBr2F with its calculated X-ray powder pattern. Radiation: Cu Kα X-rays. Structure: a DFT-relaxed cell (GGA-PBE, Alexandria).
Neutral-atom scattering factors, no anomalous dispersion.

Cell and atoms:
a = 7.251 Å, b = 7.251 Å, c = 7.467 Å
α = 90.00°, β = 90.00°, γ = 90.00°
Fractional coordinates of all 16 atoms:
Ge 0.000 0.000 0.000
Ge 0.000 0.500 0.250
Ge 0.500 0.000 0.750
Ge 0.500 0.500 0.500
Br 0.225 0.250 0.125
Br 0.250 0.725 0.375
Br 0.250 0.775 0.875
Br 0.275 0.250 0.625
Br 0.725 0.750 0.625
Br 0.750 0.225 0.875
Br 0.750 0.275 0.375
Br 0.775 0.750 0.125
F 0.000 0.000 0.500
F 0.000 0.500 0.750
F 0.500 0.000 0.250
F 0.500 0.500 0.000

Largest 10 diffraction maxima, low angle first, 2θ from 15° to 90°:
| 2θ/deg | d/Å | I (rel.) |
| --- | --- | --- |
| 17.0 | 5.202 | 28 |
| 29.6 | 3.018 | 100 |
| 35.0 | 2.564 | 57 |
| 46.5 | 1.954 | 51 |
| 46.8 | 1.942 | 10 |
| 50.3 | 1.813 | 18 |
| 55.4 | 1.660 | 30 |
| 59.5 | 1.554 | 11 |
| 70.9 | 1.329 | 12 |
| 78.1 | 1.224 | 19 |


This entry pairs a crystal structure of Ge2Br3F with its calculated X-ray powder pattern. Radiation: Cu Kα X-rays. Structure: a DFT-relaxed cell (GGA-PBE, Alexandria).
Neutral-atom scattering factors, no anomalous dispersion.

Cell and atoms:
a = 10.337 Å, b = 10.337 Å, c = 10.711 Å
α = 111.47°, β = 111.47°, γ = 22.27°
Fractional coordinates of all 12 atoms:
Ge 0.085 0.085 0.269
Ge 0.354 0.354 0.999
Ge 0.646 0.646 0.001
Ge 0.915 0.915 0.731
Br 0.050 0.050 0.802
Br 0.228 0.228 0.161
Br 0.394 0.394 0.554
Br 0.606 0.606 0.446
Br 0.772 0.772 0.839
Br 0.950 0.950 0.198
F 0.412 0.412 0.898
F 0.588 0.588 0.102

Largest 10 diffraction maxima, low angle first, 2θ from 15° to 90°:
| 2θ/deg | d/Å | I (rel.) |
| --- | --- | --- |
| 15.2 | 5.832 | 52 |
| 16.8 | 5.282 | 29 |
| 20.6 | 4.313 | 89 |
| 26.5 | 3.367 | 29 |
| 27.9 | 3.193 | 36 |
| 30.2 | 2.961 | 100 |
| 38.5 | 2.336 | 28 |
| 40.4 | 2.230 | 27 |
| 40.6 | 2.223 | 52 |
| 45.4 | 1.996 | 34 |


This entry pairs a crystal structure of H2BrF with its calculated X-ray powder pattern. Radiation: Cu Kα X-rays. Structure: a DFT-relaxed cell (GGA-PBE, Alexandria).
Neutral-atom scattering factors, no anomalous dispersion.

Cell and atoms:
a = 4.837 Å, b = 4.871 Å, c = 6.822 Å
α = 92.48°, β = 94.47°, γ = 93.98°
Fractional coordinates of all 8 atoms:
H 0.000 0.000 0.000
H 0.083 0.558 0.981
H 0.332 0.980 0.548
H 0.877 0.891 0.531
Br 0.635 0.689 0.519
Br 0.813 0.218 0.040
F 0.179 0.099 0.552
F 0.194 0.728 0.961

Largest 10 diffraction maxima, low angle first, 2θ from 15° to 90°:
| 2θ/deg | d/Å | I (rel.) |
| --- | --- | --- |
| 18.4 | 4.809 | 55 |
| 22.0 | 4.044 | 66 |
| 23.0 | 3.861 | 53 |
| 23.5 | 3.783 | 38 |
| 26.2 | 3.397 | 100 |
| 28.1 | 3.177 | 76 |
| 28.7 | 3.114 | 59 |
| 29.0 | 3.076 | 52 |
| 31.2 | 2.868 | 39 |
| 37.0 | 2.426 | 35 |


This entry pairs a crystal structure of KH2BrF8 with its calculated X-ray powder pattern. Radiation: Cu Kα X-rays. Structure: a DFT-relaxed cell (GGA-PBE, Alexandria).
Neutral-atom scattering factors, no anomalous dispersion.

Cell and atoms:
a = 4.967 Å, b = 4.986 Å, c = 7.680 Å
α = 91.58°, β = 97.71°, γ = 109.79°
Fractional coordinates of all 12 atoms:
K 0.000 0.000 0.000
H 0.311 0.558 0.803
H 0.689 0.442 0.197
Br 0.000 0.000 0.500
F 0.209 0.225 0.335
F 0.232 0.775 0.507
F 0.257 0.246 0.701
F 0.336 0.685 0.906
F 0.664 0.315 0.094
F 0.743 0.754 0.299
F 0.768 0.225 0.493
F 0.791 0.775 0.665

Largest 10 diffraction maxima, low angle first, 2θ from 15° to 90°:
| 2θ/deg | d/Å | I (rel.) |
| --- | --- | --- |
| 19.0 | 4.677 | 97 |
| 19.2 | 4.619 | 88 |
| 20.9 | 4.243 | 53 |
| 21.9 | 4.063 | 100 |
| 23.4 | 3.794 | 63 |
| 29.1 | 3.066 | 48 |
| 31.6 | 2.836 | 51 |
| 36.8 | 2.441 | 53 |
| 42.4 | 2.131 | 47 |
| 44.6 | 2.032 | 51 |